Entry 1:
This entry pairs a crystal structure of Tl3In2Pb3 with its theoretical XRD peak list. Radiation: copper Kα. Structure: DFT lattice parameters and positions (PBE).
No peak broadening, texture or thermal motion is included.

Structural model:
```
data_Tl3In2Pb3
_cell_length_a 18.2832
_cell_length_b 5.2651
_cell_length_c 5.2234
_cell_angle_alpha 90.00
_cell_angle_beta 106.43
_cell_angle_gamma 90.00
_space_group_name_H-M_alt 'C 1 2/m 1'
_space_group_IT_number 12
loop_
_space_group_symop_operation_xyz
'x,y,z'
'-x,-y,-z'
'-x,y,-z'
'x,-y,z'
'x+1/2,y+1/2,z'
'-x+1/2,-y+1/2,-z'
'-x+1/2,y+1/2,-z'
'x+1/2,-y+1/2,z'
loop_
_atom_site_label
_atom_site_fract_x
_atom_site_fract_y
_atom_site_fract_z
Tl1 0.0000 0.0000 0.0000
Tl2 0.1284 0.0000 0.6269
In1 0.2482 0.0000 0.2481
Pb1 0.0000 0.5000 0.5000
Pb2 0.1321 0.5000 0.1309
```

Main lines, sorted by position (15 to 90 degrees two-theta):
- d = 2.831 Å, rel. 100, (3 1 1)
- d = 2.633 Å, rel. 21, (0 2 0)
- d = 2.612 Å, rel. 20, (2 0 -2)
- d = 2.192 Å, rel. 12, (8 0 0)
- d = 1.854 Å, rel. 15, (2 2 -2)
- d = 1.685 Å, rel. 11, (8 2 0)
- d = 1.556 Å, rel. 8, (3 3 1)
- d = 1.555 Å, rel. 8, (5 3 -1)
- d = 1.548 Å, rel. 8, (1 1 3)
- d = 1.545 Å, rel. 8, (7 1 -3)


Entry 2:
This entry pairs a crystal structure of CsBC4N4 with its theoretical XRD peak list. Radiation: copper Kα. Structure: DFT lattice parameters and positions (PBE).
No peak broadening, texture or thermal motion is included.

Structural model:
```
data_CsBC4N4
_cell_length_a 7.4738
_cell_length_b 7.4738
_cell_length_c 15.7601
_cell_angle_alpha 90.00
_cell_angle_beta 90.00
_cell_angle_gamma 90.00
_space_group_name_H-M_alt 'I 41/a'
_space_group_IT_number 88
loop_
_space_group_symop_operation_xyz
'x,y,z'
'-x,-y,-z'
'-y+3/4,x+1/4,z+1/4'
'y+3/4,-x+1/4,-z+1/4'
'-x+1/2,-y,z+1/2'
'x+1/2,y,-z+1/2'
'y+3/4,-x+3/4,z+3/4'
'-y+3/4,x+3/4,-z+3/4'
'x+1/2,y+1/2,z+1/2'
'-x+1/2,-y+1/2,-z+1/2'
'-y+1/4,x+3/4,z+3/4'
'y+1/4,-x+3/4,-z+3/4'
'-x,-y+1/2,z'
'x,y+1/2,-z'
'y+1/4,-x+1/4,z+1/4'
'-y+1/4,x+1/4,-z+1/4'
loop_
_atom_site_label
_atom_site_fract_x
_atom_site_fract_y
_atom_site_fract_z
Cs1 0.0000 0.2500 0.1250
B1 0.0000 0.2500 0.6250
C1 0.0985 0.1058 0.6824
N1 0.1717 0.4975 0.2771
```

Main lines, sorted by position (15 to 90 degrees two-theta):
- d = 4.389 Å, rel. 100, (1 1 2)
- d = 4.298 Å, rel. 14, (1 0 3)
- d = 3.270 Å, rel. 32, (1 2 1)
- d = 2.904 Å, rel. 15, (1 0 5)
- d = 2.820 Å, rel. 28, (2 1 3)
- d = 2.711 Å, rel. 34, (2 0 4)
- d = 2.642 Å, rel. 15, (2 2 0)
- d = 2.352 Å, rel. 12, (1 1 6)
- d = 2.264 Å, rel. 21, (3 1 2)
- d = 1.757 Å, rel. 13, (1 3 6)


Entry 3:
This entry pairs a crystal structure of Pu3Pa3NbN8 with its theoretical XRD peak list. Radiation: copper Kα. Structure: DFT lattice parameters and positions (PBE).
No peak broadening, texture or thermal motion is included.

Structural model:
```
data_Pu3Pa3NbN8
_cell_length_a 6.8804
_cell_length_b 6.8804
_cell_length_c 16.7508
_cell_angle_alpha 90.00
_cell_angle_beta 90.00
_cell_angle_gamma 120.00
_space_group_name_H-M_alt 'R -3 m'
_space_group_IT_number 166
_space_group_name_Hall '-R 3 2"'
loop_
_atom_site_label
_atom_site_fract_x
_atom_site_fract_y
_atom_site_fract_z
Pu1 0.0000 0.5000 0.0000
Pa1 0.0000 0.5000 0.5000
Nb1 0.0000 0.0000 0.5000
N1 0.0000 0.0000 0.2465
N2 0.0239 0.5119 0.2388
```

Main lines, sorted by position (15 to 90 degrees two-theta):
- d = 4.855 Å, rel. 26, (0 1 2)
- d = 2.807 Å, rel. 100, (2 0 2)
- d = 2.792 Å, rel. 33, (0 0 6)
- d = 2.428 Å, rel. 90, (0 2 4)
- d = 1.720 Å, rel. 32, (2 2 0)
- d = 1.713 Å, rel. 31, (2 0 8)
- d = 1.467 Å, rel. 15, (0 4 2)
- d = 1.464 Å, rel. 31, (2 2 6)
- d = 1.460 Å, rel. 15, (0 2 10)
- d = 1.403 Å, rel. 16, (4 0 4)


Entry 4:
This entry pairs a crystal structure of PuB3F12 with its theoretical XRD peak list. Radiation: copper Kα. Structure: DFT lattice parameters and positions (PBE).
No peak broadening, texture or thermal motion is included.

Structural model:
```
data_PuB3F12
_cell_length_a 9.2355
_cell_length_b 9.2355
_cell_length_c 5.8603
_cell_angle_alpha 90.00
_cell_angle_beta 90.00
_cell_angle_gamma 120.00
_space_group_name_H-M_alt 'P 63/m'
_space_group_IT_number 176
_space_group_name_Hall '-P 6c'
loop_
_atom_site_label
_atom_site_fract_x
_atom_site_fract_y
_atom_site_fract_z
Pu1 0.3333 0.6667 0.2500
B1 0.0917 0.3830 0.7500
F1 0.0235 0.2160 0.7500
F2 0.0331 0.5655 0.2500
F3 0.1965 0.4605 0.5528
```

Main lines, sorted by position (15 to 90 degrees two-theta):
- d = 4.727 Å, rel. 100, (1 0 1)
- d = 4.618 Å, rel. 63, (1 1 0)
- d = 3.303 Å, rel. 77, (2 0 1)
- d = 2.687 Å, rel. 57, (1 2 1)
- d = 2.474 Å, rel. 24, (1 1 2)
- d = 2.104 Å, rel. 30, (1 2 2)
- d = 2.075 Å, rel. 41, (3 1 1)
- d = 1.972 Å, rel. 23, (3 0 2)
- d = 1.898 Å, rel. 19, (1 0 3)
- d = 1.751 Å, rel. 23, (3 2 1)


Entry 5:
This entry pairs a crystal structure of PrNiSbH with its theoretical XRD peak list. Radiation: copper Kα. Structure: DFT lattice parameters and positions (PBE).
No peak broadening, texture or thermal motion is included.

Structural model:
```
data_PrNiSbH
_cell_length_a 4.3574
_cell_length_b 4.3574
_cell_length_c 4.3310
_cell_angle_alpha 90.00
_cell_angle_beta 90.00
_cell_angle_gamma 120.00
_space_group_name_H-M_alt 'P 3 m 1'
_space_group_IT_number 156
loop_
_space_group_symop_operation_xyz
'x,y,z'
'-y,x-y,z'
'-x+y,-x,z'
'-y,-x,z'
'-x+y,y,z'
'x,x-y,z'
loop_
_atom_site_label
_atom_site_fract_x
_atom_site_fract_y
_atom_site_fract_z
Pr1 0.0000 0.0000 0.0000
Ni1 0.6667 0.3333 0.5751
Sb1 0.3333 0.6667 0.4879
H1 0.6667 0.3333 0.9400
```

Main lines, sorted by position (15 to 90 degrees two-theta):
- d = 3.774 Å, rel. 8, (1 0 0)
- d = 2.845 Å, rel. 100, (0 1 1)
- d = 2.179 Å, rel. 44, (1 1 0)
- d = 2.165 Å, rel. 12, (0 0 2)
- d = 1.878 Å, rel. 7, (1 0 2)
- d = 1.730 Å, rel. 23, (2 0 1)
- d = 1.536 Å, rel. 24, (1 1 2)
- d = 1.355 Å, rel. 20, (1 2 1)
- d = 1.348 Å, rel. 10, (0 1 3)
- d = 1.258 Å, rel. 7, (3 0 0)


Entry 6:
This entry pairs a crystal structure of BaHfCd with its theoretical XRD peak list. Radiation: copper Kα. Structure: DFT lattice parameters and positions (PBE).
No peak broadening, texture or thermal motion is included.

Structural model:
```
data_BaHfCd
_cell_length_a 3.5193
_cell_length_b 3.5193
_cell_length_c 14.6149
_cell_angle_alpha 90.00
_cell_angle_beta 90.00
_cell_angle_gamma 90.00
_space_group_name_H-M_alt 'P 4 m m'
_space_group_IT_number 99
loop_
_space_group_symop_operation_xyz
'x,y,z'
'-y,x,z'
'-x,-y,z'
'y,-x,z'
'-x,y,z'
'y,x,z'
'x,-y,z'
'-y,-x,z'
loop_
_atom_site_label
_atom_site_fract_x
_atom_site_fract_y
_atom_site_fract_z
Ba1 0.0000 0.0000 0.0000
Ba2 0.0000 0.0000 0.3657
Hf1 0.0000 0.0000 0.6974
Hf2 0.5000 0.5000 0.5740
Cd1 0.5000 0.5000 0.1831
Cd2 0.5000 0.5000 0.8217
```

Main lines, sorted by position (15 to 90 degrees two-theta):
- d = 2.923 Å, rel. 8, (0 0 5)
- d = 2.853 Å, rel. 100, (1 0 3)
- d = 2.535 Å, rel. 15, (1 0 4)
- d = 2.489 Å, rel. 46, (1 1 0)
- d = 2.249 Å, rel. 8, (1 0 5)
- d = 1.895 Å, rel. 9, (1 1 5)
- d = 1.760 Å, rel. 16, (2 0 0)
- d = 1.741 Å, rel. 9, (1 1 6)
- d = 1.622 Å, rel. 9, (1 0 8)
- d = 1.498 Å, rel. 28, (2 1 3)


Entry 7:
This entry pairs a crystal structure of Na2SiH12O9 with its theoretical XRD peak list. Radiation: copper Kα. Structure: DFT lattice parameters and positions (PBE).
No peak broadening, texture or thermal motion is included.

Structural model:
```
data_Na2SiH12O9
_cell_length_a 6.3472
_cell_length_b 5.9515
_cell_length_c 11.4728
_cell_angle_alpha 90.00
_cell_angle_beta 101.78
_cell_angle_gamma 90.00
_space_group_name_H-M_alt 'P 1 21 1'
_space_group_IT_number 4
loop_
_space_group_symop_operation_xyz
'x,y,z'
'-x,y+1/2,-z'
loop_
_atom_site_label
_atom_site_fract_x
_atom_site_fract_y
_atom_site_fract_z
Na1 0.0677 0.0000 0.1404
Na2 0.4306 0.9763 0.3859
Si1 0.2941 0.0206 0.8719
H1 0.0321 0.7687 0.6823
H2 0.0394 0.5245 0.6221
H3 0.0955 0.5831 0.2696
H4 0.1516 0.2650 0.5015
H5 0.1867 0.2031 0.6394
H6 0.2889 0.7332 0.0059
H7 0.3031 0.5822 0.2062
H8 0.3242 0.3462 0.9919
H9 0.3417 0.8953 0.6335
H10 0.4256 0.4609 0.3727
H11 0.4455 0.4719 0.8436
H12 0.4545 0.2167 0.1604
O1 0.0603 0.1359 0.3511
O2 0.1665 0.9964 0.7346
O3 0.1849 0.8314 0.9533
O4 0.1995 0.3294 0.5824
O5 0.2423 0.2814 0.9129
O6 0.2433 0.6464 0.2736
O7 0.4432 0.0568 0.1858
O8 0.4456 0.4817 0.1039
O9 0.4525 0.8669 0.5856
```

Main lines, sorted by position (15 to 90 degrees two-theta):
- d = 4.298 Å, rel. 100, (1 1 0)
- d = 3.673 Å, rel. 40, (1 1 -2)
- d = 3.044 Å, rel. 53, (1 1 -3)
- d = 2.976 Å, rel. 40, (0 2 0)
- d = 2.808 Å, rel. 51, (0 0 4)
- d = 2.794 Å, rel. 86, (2 1 -1)
- d = 2.629 Å, rel. 52, (0 2 2)
- d = 2.569 Å, rel. 74, (2 1 1)
- d = 2.519 Å, rel. 52, (1 1 -4)
- d = 1.826 Å, rel. 42, (1 3 -2)


Entry 8:
This entry pairs a crystal structure of Ho3HfTl3S8 with its theoretical XRD peak list. Radiation: copper Kα. Structure: DFT lattice parameters and positions (PBE).
No peak broadening, texture or thermal motion is included.

Structural model:
```
data_Ho3HfTl3S8
_cell_length_a 7.8531
_cell_length_b 7.8531
_cell_length_c 22.8251
_cell_angle_alpha 90.00
_cell_angle_beta 90.00
_cell_angle_gamma 120.00
_space_group_name_H-M_alt 'R -3 m'
_space_group_IT_number 166
_space_group_name_Hall '-R 3 2"'
loop_
_atom_site_label
_atom_site_fract_x
_atom_site_fract_y
_atom_site_fract_z
Ho1 0.0000 0.5000 0.0000
Hf1 0.0000 0.0000 0.0000
Tl1 0.0000 0.5000 0.5000
S1 0.0000 0.0000 0.2677
S2 0.0180 0.5090 0.7300
```

Main lines, sorted by position (15 to 90 degrees two-theta):
- d = 3.803 Å, rel. 36, (0 0 6)
- d = 3.259 Å, rel. 59, (2 0 2)
- d = 2.921 Å, rel. 100, (0 2 4)
- d = 2.186 Å, rel. 39, (2 0 8)
- d = 1.963 Å, rel. 33, (2 2 0)
- d = 1.895 Å, rel. 18, (0 2 10)
- d = 1.745 Å, rel. 24, (2 2 6)
- d = 1.629 Å, rel. 17, (4 0 4)
- d = 1.366 Å, rel. 15, (2 2 12)
- d = 1.254 Å, rel. 14, (2 4 4)


Entry 9:
This entry pairs a crystal structure of TaMnNiPS with its theoretical XRD peak list. Radiation: copper Kα. Structure: DFT lattice parameters and positions (PBE).
No peak broadening, texture or thermal motion is included.

Structural model:
```
data_TaMnNiPS
_cell_length_a 8.3143
_cell_length_b 3.3128
_cell_length_c 5.5063
_cell_angle_alpha 90.00
_cell_angle_beta 115.07
_cell_angle_gamma 90.00
_space_group_name_H-M_alt 'C 1 m 1'
_space_group_IT_number 8
loop_
_space_group_symop_operation_xyz
'x,y,z'
'x,-y,z'
'x+1/2,y+1/2,z'
'x+1/2,-y+1/2,z'
loop_
_atom_site_label
_atom_site_fract_x
_atom_site_fract_y
_atom_site_fract_z
Ta1 0.0000 0.0000 0.0000
Mn1 0.3355 0.5000 0.4014
Ni1 0.1971 0.0000 0.6503
P1 0.0275 0.5000 0.3731
S1 0.1994 0.5000 0.9518
```

Main lines, sorted by position (15 to 90 degrees two-theta):
- d = 4.988 Å, rel. 48, (0 0 1)
- d = 3.904 Å, rel. 40, (2 0 -1)
- d = 3.032 Å, rel. 97, (1 1 0)
- d = 2.662 Å, rel. 50, (2 0 -2)
- d = 2.533 Å, rel. 56, (2 0 1)
- d = 2.415 Å, rel. 77, (1 1 1)
- d = 2.121 Å, rel. 100, (3 1 -1)
- d = 2.111 Å, rel. 96, (1 1 -2)
- d = 2.076 Å, rel. 39, (4 0 -1)
- d = 1.672 Å, rel. 39, (3 1 1)


Entry 10:
This entry pairs a crystal structure of Tc2OsRu4 with its theoretical XRD peak list. Radiation: copper Kα. Structure: DFT lattice parameters and positions (PBE).
No peak broadening, texture or thermal motion is included.

Structural model:
```
data_Tc2OsRu4
_cell_length_a 2.7401
_cell_length_b 2.7401
_cell_length_c 45.6239
_cell_angle_alpha 90.00
_cell_angle_beta 90.00
_cell_angle_gamma 120.00
_space_group_name_H-M_alt 'R 3 m'
_space_group_IT_number 160
_space_group_name_Hall 'R 3 -2"'
loop_
_atom_site_label
_atom_site_fract_x
_atom_site_fract_y
_atom_site_fract_z
Tc1 0.0000 0.0000 0.0000
Tc2 0.0000 0.0000 0.0959
Os1 0.0000 0.0000 0.9047
Ru1 0.0000 0.0000 0.1910
Ru2 0.0000 0.0000 0.2850
Ru3 0.0000 0.0000 0.7153
Ru4 0.0000 0.0000 0.8098
```

Main lines, sorted by position (15 to 90 degrees two-theta):
- d = 2.370 Å, rel. 44, (1 0 1)
- d = 2.173 Å, rel. 52, (0 0 21)
- d = 2.105 Å, rel. 100, (1 0 10)
- d = 2.060 Å, rel. 97, (0 1 11)
- d = 1.370 Å, rel. 35, (1 1 0)
- d = 1.251 Å, rel. 17, (1 0 31)
- d = 1.222 Å, rel. 18, (0 1 32)
- d = 1.159 Å, rel. 41, (1 1 21)
- d = 1.148 Å, rel. 14, (0 2 10)
- d = 1.141 Å, rel. 14, (2 0 11)


Entry 11:
This entry pairs a crystal structure of K12AgAu5 with its theoretical XRD peak list. Radiation: copper Kα. Structure: DFT lattice parameters and positions (PBE).
No peak broadening, texture or thermal motion is included.

Structural model:
```
data_K12AgAu5
_cell_length_a 10.9478
_cell_length_b 11.0183
_cell_length_c 12.2877
_cell_angle_alpha 90.00
_cell_angle_beta 90.00
_cell_angle_gamma 90.00
_space_group_name_H-M_alt 'I m m m'
_space_group_IT_number 71
_space_group_name_Hall '-I 2 2'
loop_
_atom_site_label
_atom_site_fract_x
_atom_site_fract_y
_atom_site_fract_z
K1 0.0000 0.1722 0.1532
K2 0.1711 0.2187 0.5000
K3 0.1838 0.5000 0.2479
Ag1 0.0000 0.5000 0.0000
Au1 0.0000 0.0000 0.3809
Au2 0.0000 0.5000 0.5000
Au3 0.2144 0.0000 0.0000
```

Main lines, sorted by position (15 to 90 degrees two-theta):
- d = 5.509 Å, rel. 96, (0 2 0)
- d = 4.557 Å, rel. 76, (2 1 1)
- d = 3.839 Å, rel. 31, (0 1 3)
- d = 3.018 Å, rel. 50, (3 1 2)
- d = 2.956 Å, rel. 100, (3 2 1)
- d = 2.857 Å, rel. 41, (1 1 4)
- d = 2.755 Å, rel. 31, (0 4 0)
- d = 2.735 Å, rel. 52, (4 0 0)
- d = 2.680 Å, rel. 24, (2 0 4)
- d = 2.300 Å, rel. 49, (3 1 4)


Entry 12:
This entry pairs a crystal structure of LiEr3Tl with its theoretical XRD peak list. Radiation: copper Kα. Structure: DFT lattice parameters and positions (PBE).
No peak broadening, texture or thermal motion is included.

Structural model:
```
data_LiEr3Tl
_cell_length_a 5.0342
_cell_length_b 21.1030
_cell_length_c 5.0456
_cell_angle_alpha 90.00
_cell_angle_beta 90.00
_cell_angle_gamma 90.00
_space_group_name_H-M_alt 'C m c m'
_space_group_IT_number 63
_space_group_name_Hall '-C 2c 2'
loop_
_atom_site_label
_atom_site_fract_x
_atom_site_fract_y
_atom_site_fract_z
Li1 0.0000 0.1531 0.2500
Er1 0.0000 0.0557 0.7500
Er2 0.0000 0.2490 0.7500
Er3 0.0000 0.4395 0.7500
Tl1 0.0000 0.3419 0.2500
```

Main lines, sorted by position (15 to 90 degrees two-theta):
- d = 4.552 Å, rel. 11, (0 2 1)
- d = 4.094 Å, rel. 12, (1 3 0)
- d = 2.723 Å, rel. 100, (1 5 1)
- d = 2.520 Å, rel. 43, (2 0 0)
- d = 2.110 Å, rel. 10, (0 10 0)
- d = 1.782 Å, rel. 15, (2 0 2)
- d = 1.618 Å, rel. 18, (2 10 0)
- d = 1.492 Å, rel. 16, (1 5 3)
- d = 1.490 Å, rel. 16, (3 5 1)
- d = 1.361 Å, rel. 10, (2 10 2)